[1]
This entry pairs a crystal structure of CsNaGa2As2 with its computed X-ray diffraction stick pattern. Radiation: CuKα. Structure: a PBE-relaxed structure.
Kinematic intensities with the Lorentz-polarization factor, no thermal factor.

Top 12 peaks for 15 to 90 degrees two-theta, sorted by position:
2θ 23.81, I 18.9
2θ 25.96, I 28.6
2θ 29.46, I 100.0
2θ 31.93, I 11.2
2θ 40.78, I 14.0
2θ 43.48, I 39.7
2θ 47.77, I 19.2
2θ 50.17, I 14.7
2θ 53.39, I 18.3
2θ 54.95, I 13.9
2θ 63.57, I 9.7
2θ 71.22, I 15.2

Structural model:
```
CsNaGa2As2
1.0
4.163 0.000 0.000
-2.081 3.605 0.000
0.000 0.000 11.211
Cs Na Ga As
1 1 2 2
direct
0.000 0.000 0.000
0.000 0.000 0.500
0.333 0.667 0.755
0.667 0.333 0.245
0.333 0.667 0.320
0.667 0.333 0.680
```



[2]
This entry pairs a crystal structure of BaPrCrN4 with its computed X-ray diffraction stick pattern. Radiation: CuKα. Structure: a PBE-relaxed structure.
Kinematic intensities with the Lorentz-polarization factor, no thermal factor.

Top 12 peaks for 15 to 90 degrees two-theta, sorted by position:
2θ 21.94, I 100.0
2θ 22.52, I 20.4
2θ 29.30, I 59.8
2θ 29.61, I 51.2
2θ 31.13, I 58.3
2θ 31.31, I 38.3
2θ 33.94, I 33.1
2θ 36.69, I 37.2
2θ 37.44, I 39.1
2θ 40.41, I 19.7
2θ 44.74, I 38.3
2θ 48.43, I 19.6

Structural model:
```
BaPrCrN4
1.0
5.973 0.000 0.000
0.000 5.747 0.000
-2.195 0.000 7.192
Ba Pr Cr N
2 2 2 8
direct
0.215 0.250 0.425
0.785 0.750 0.575
0.279 0.250 0.947
0.721 0.750 0.053
0.267 0.750 0.180
0.733 0.250 0.820
0.083 0.750 0.324
0.091 0.750 0.953
0.453 0.511 0.212
0.453 0.989 0.212
0.547 0.011 0.788
0.547 0.489 0.788
0.909 0.250 0.047
0.917 0.250 0.676
```



[3]
This entry pairs a crystal structure of Na5InAs3 with its computed X-ray diffraction stick pattern. Radiation: CuKα. Structure: a PBE-relaxed structure.
Kinematic intensities with the Lorentz-polarization factor, no thermal factor.

Top 12 peaks for 15 to 90 degrees two-theta, sorted by position:
2θ 16.11, I 25.5
2θ 18.29, I 13.1
2θ 19.30, I 12.9
2θ 22.35, I 44.7
2θ 22.47, I 48.4
2θ 36.81, I 26.0
2θ 37.02, I 100.0
2θ 37.13, I 26.4
2θ 43.68, I 21.5
2θ 43.81, I 12.7
2θ 53.41, I 15.3
2θ 66.82, I 14.9

Structural model:
```
Na5InAs3
1.0
7.724 -3.429 0.000
7.724 3.429 0.000
-3.074 0.000 9.186
Na In As
10 2 6
direct
0.079 0.586 0.907
0.091 0.580 0.429
0.246 0.754 0.750
0.414 0.921 0.593
0.420 0.909 0.071
0.580 0.091 0.929
0.586 0.079 0.407
0.754 0.246 0.250
0.909 0.420 0.571
0.921 0.414 0.093
0.247 0.753 0.250
0.753 0.247 0.750
0.122 0.190 0.826
0.190 0.122 0.326
0.500 0.500 0.000
0.500 0.500 0.500
0.810 0.878 0.674
0.878 0.810 0.174
```



[4]
This entry pairs a crystal structure of SrHgW with its computed X-ray diffraction stick pattern. Radiation: CuKα. Structure: a PBE-relaxed structure.
Kinematic intensities with the Lorentz-polarization factor, no thermal factor.

Top 12 peaks for 15 to 90 degrees two-theta, sorted by position:
2θ 30.49, I 4.7
2θ 34.96, I 100.0
2θ 35.85, I 21.5
2θ 42.69, I 24.9
2θ 42.86, I 14.7
2θ 56.96, I 11.4
2θ 57.07, I 11.4
2θ 62.11, I 9.9
2θ 63.86, I 14.1
2θ 73.20, I 11.9
2θ 73.40, I 11.9
2θ 73.84, I 10.7

Structural model:
```
SrHgW
1.0
4.220 0.000 0.000
0.000 4.234 0.000
0.000 0.000 15.028
Sr Hg W
4 4 4
direct
0.000 0.000 0.000
0.000 0.500 0.500
0.500 0.000 0.500
0.500 0.500 0.000
0.000 0.000 0.321
0.000 0.500 0.821
0.500 0.000 0.821
0.500 0.500 0.321
0.000 0.000 0.674
0.000 0.500 0.174
0.500 0.000 0.174
0.500 0.500 0.674
```



[5]
This entry pairs a crystal structure of Cr2Te3 with its computed X-ray diffraction stick pattern. Radiation: CuKα. Structure: a PBE-relaxed structure.
Kinematic intensities with the Lorentz-polarization factor, no thermal factor.

Top 12 peaks for 15 to 90 degrees two-theta, sorted by position:
2θ 27.25, I 23.1
2θ 29.21, I 29.5
2θ 30.63, I 100.0
2θ 36.19, I 17.8
2θ 40.74, I 18.9
2θ 46.82, I 38.8
2θ 48.47, I 22.5
2θ 55.02, I 16.7
2θ 56.20, I 11.7
2θ 57.00, I 18.4
2θ 76.09, I 20.3
2θ 76.77, I 14.0

Structural model:
```
Cr2Te3
1.0
3.880 0.000 0.000
-1.940 3.361 0.000
0.000 0.000 29.446
Cr Te
6 9
direct
0.000 0.000 0.106
0.000 0.000 0.894
0.333 0.667 0.561
0.333 0.667 0.772
0.667 0.333 0.228
0.667 0.333 0.439
0.000 0.000 0.278
0.000 0.000 0.500
0.000 0.000 0.722
0.333 0.667 0.167
0.333 0.667 0.389
0.333 0.667 0.945
0.667 0.333 0.055
0.667 0.333 0.611
0.667 0.333 0.833
```



[6]
This entry pairs a crystal structure of SbPO5 with its computed X-ray diffraction stick pattern. Radiation: CuKα. Structure: a PBE-relaxed structure.
Kinematic intensities with the Lorentz-polarization factor, no thermal factor.

Top 12 peaks for 15 to 90 degrees two-theta, sorted by position:
2θ 15.36, I 100.0
2θ 18.30, I 16.2
2θ 21.26, I 28.1
2θ 21.53, I 19.7
2θ 26.21, I 28.6
2θ 30.33, I 42.5
2θ 30.44, I 34.6
2θ 31.00, I 62.2
2θ 43.20, I 15.6
2θ 43.86, I 27.1
2θ 53.93, I 15.6
2θ 55.76, I 13.8

Structural model:
```
SbPO5
1.0
0.000 5.952 8.357
3.589 0.000 8.357
3.589 5.952 0.000
Sb P O
4 4 20
direct
0.000 0.000 0.000
0.000 0.000 0.500
0.000 0.500 0.000
0.500 0.000 0.000
0.160 0.160 0.590
0.410 0.410 0.840
0.590 0.590 0.160
0.840 0.840 0.410
0.016 0.773 0.447
0.049 0.049 0.201
0.052 0.377 0.719
0.201 0.201 0.049
0.227 0.984 0.735
0.265 0.447 0.773
0.281 0.649 0.948
0.351 0.719 0.377
0.377 0.052 0.351
0.447 0.265 0.016
0.553 0.735 0.984
0.623 0.948 0.649
0.649 0.281 0.623
0.719 0.351 0.052
0.735 0.553 0.227
0.773 0.016 0.265
0.799 0.799 0.951
0.948 0.623 0.281
0.951 0.951 0.799
0.984 0.227 0.553
```



[7]
This entry pairs a crystal structure of KTl3Se3 with its computed X-ray diffraction stick pattern. Radiation: CuKα. Structure: a PBE-relaxed structure.
Kinematic intensities with the Lorentz-polarization factor, no thermal factor.

Top 12 peaks for 15 to 90 degrees two-theta, sorted by position:
2θ 15.40, I 40.2
2θ 25.28, I 100.0
2θ 28.32, I 80.1
2θ 29.73, I 21.6
2θ 32.39, I 14.3
2θ 33.65, I 61.6
2θ 36.05, I 19.9
2θ 44.54, I 36.9
2θ 46.46, I 49.5
2θ 47.40, I 26.7
2θ 69.29, I 17.5
2θ 75.05, I 14.5

Structural model:
```
KTl3Se3
1.0
9.965 0.000 0.000
0.000 9.965 0.000
0.000 0.000 9.965
K Tl Se
4 12 12
direct
0.044 0.456 0.544
0.456 0.544 0.044
0.544 0.044 0.456
0.956 0.956 0.956
0.017 0.983 0.483
0.189 0.189 0.189
0.216 0.784 0.284
0.284 0.216 0.784
0.311 0.811 0.689
0.483 0.017 0.983
0.517 0.517 0.517
0.689 0.311 0.811
0.716 0.716 0.716
0.784 0.284 0.216
0.811 0.689 0.311
0.983 0.483 0.017
0.004 0.788 0.659
0.159 0.496 0.212
0.212 0.159 0.496
0.288 0.841 0.996
0.341 0.504 0.712
0.496 0.212 0.159
0.504 0.712 0.341
0.659 0.004 0.788
0.712 0.341 0.504
0.788 0.659 0.004
0.841 0.996 0.288
0.996 0.288 0.841
```



[8]
This entry pairs a crystal structure of Ac4Nd8Ho with its computed X-ray diffraction stick pattern. Radiation: CuKα. Structure: a PBE-relaxed structure.
Kinematic intensities with the Lorentz-polarization factor, no thermal factor.

Top 12 peaks for 15 to 90 degrees two-theta, sorted by position:
2θ 18.75, I 23.7
2θ 30.85, I 100.0
2θ 36.34, I 14.0
2θ 44.19, I 18.7
2θ 48.39, I 6.4
2θ 54.86, I 39.3
2θ 58.50, I 4.9
2θ 64.27, I 12.1
2θ 67.60, I 4.8
2θ 72.98, I 16.6
2θ 81.30, I 4.1
2θ 89.44, I 20.2

Structural model:
```
Ac4Nd8Ho
1.0
5.796 3.346 4.736
-5.796 3.346 4.736
0.000 -6.692 4.736
Ac Nd Ho
4 8 1
direct
0.000 0.000 0.000
0.000 0.500 0.500
0.500 0.000 0.500
0.500 0.500 0.000
0.242 0.242 0.242
0.242 0.242 0.758
0.242 0.758 0.242
0.242 0.758 0.758
0.758 0.242 0.242
0.758 0.242 0.758
0.758 0.758 0.242
0.758 0.758 0.758
0.500 0.500 0.500
```



Q: Which formula does entry 4 have?
A: SrHgW



Q: Which formula does entry 3 have?
A: Na5InAs3



Q: Which formula does entry 7 have?
A: KTl3Se3